Diffraction record for AgPtPb2. The powder diffractogram is simulated, not measured: it uses a PBE-relaxed structure and Cu Kα X-rays.

Peak list (6 most intense, 2θ from 10° to 90°, by angle)
- d 3.052, 2θ 29.26, intensity 37
- d 2.615, 2θ 34.30, intensity 14
- d 2.503, 2θ 35.88, intensity 100
- d 2.309, 2θ 39.01, intensity 24
- d 2.158, 2θ 41.86, intensity 14
- d 1.367, 2θ 68.63, intensity 15

Crystal structure
```
AgPtPb2
1.0
3.4129 0.0000 0.0000
0.0000 4.6179 0.0000
0.0000 0.0000 12.2056
Ag Pt Pb
2 2 4
Cartesian
0.0000 0.0000 0.0000 Ag
1.7064 2.3089 6.1028 Ag
0.0000 2.3089 3.6884 Pt
1.7064 0.0000 9.7912 Pt
0.0000 0.0000 7.3965 Pb
0.0000 2.3089 10.1357 Pb
1.7064 0.0000 4.0329 Pb
1.7064 2.3089 1.2937 Pb
```



Diffraction record for Sr2CeAgS5. The powder diffractogram is simulated, not measured: it uses a PBE-relaxed structure and Cu Kα X-rays.

Peak list (6 most intense, 2θ from 10° to 90°, by angle)
- d 3.734, 2θ 23.83, intensity 25
- d 3.337, 2θ 26.72, intensity 36
- d 3.223, 2θ 27.68, intensity 19
- d 2.853, 2θ 31.35, intensity 100
- d 2.441, 2θ 36.82, intensity 33
- d 2.032, 2θ 44.60, intensity 17

Crystal structure
```
Sr2CeAgS5
1.0
2.0319 -8.7807 0.0000
2.0319 8.7807 0.0000
0.0000 0.0000 12.3785
Sr Ce Ag S
4 2 2 10
Cartesian
2.0319 6.8015 6.1893 Sr
2.0319 6.5896 1.6824 Sr
2.0319 -6.5896 7.8717 Sr
2.0319 -6.8015 0.0000 Sr
2.0319 5.2271 10.2819 Ce
2.0319 -5.2271 4.0926 Ce
2.0319 0.7581 3.3181 Ag
2.0319 -0.7581 9.5074 Ag
2.0319 7.9537 10.9007 S
2.0319 3.6767 5.9342 S
2.0319 3.3733 2.2443 S
2.0319 2.5492 10.1569 S
2.0319 0.0526 7.2138 S
2.0319 -0.0526 1.0245 S
2.0319 -2.5492 3.9676 S
2.0319 -3.3733 8.4336 S
2.0319 -3.6767 12.1235 S
2.0319 -7.9537 4.7114 S
```



Diffraction record for NdHo6Sc6. The powder diffractogram is simulated, not measured: it uses a PBE-relaxed structure and Cu Kα X-rays.

Peak list (6 most intense, 2θ from 10° to 90°, by angle)
- d 3.347, 2θ 26.64, intensity 80
- d 3.148, 2θ 28.35, intensity 100
- d 2.960, 2θ 30.20, intensity 71
- d 2.835, 2θ 31.56, intensity 66
- d 2.710, 2θ 33.05, intensity 58
- d 2.505, 2θ 35.85, intensity 58

Crystal structure
```
NdHo6Sc6
1.0
3.3468 -5.3505 0.0000
3.3468 5.3505 0.0000
0.0000 0.0000 10.6588
Nd Ho Sc
1 6 6
Cartesian
0.0000 0.0000 0.0000 Nd
0.0000 0.0000 3.5921 Ho
0.0000 0.0000 7.0667 Ho
3.3468 2.3063 5.3294 Ho
3.3468 1.5856 0.0000 Ho
3.3468 -1.5856 0.0000 Ho
3.3468 -2.3063 5.3294 Ho
1.6734 2.6752 2.4327 Sc
1.6734 2.6752 8.2260 Sc
1.6734 -2.6752 2.4327 Sc
1.6734 -2.6752 8.2260 Sc
3.3468 0.0000 3.0599 Sc
3.3468 0.0000 7.5989 Sc
```



Diffraction record for Tl2PS4. The powder diffractogram is simulated, not measured: it uses a PBE-relaxed structure and Cu Kα X-rays.

Peak list (6 most intense, 2θ from 10° to 90°, by angle)
- d 5.072, 2θ 17.49, intensity 43
- d 5.027, 2θ 17.64, intensity 43
- d 4.921, 2θ 18.03, intensity 39
- d 3.570, 2θ 24.94, intensity 41
- d 3.528, 2θ 25.25, intensity 100
- d 2.890, 2θ 30.94, intensity 59

Crystal structure
```
Tl2PS4
1.0
9.8412 0.0000 0.0000
0.0000 10.1432 0.0000
-4.9108 0.0000 5.0271
Tl P S
4 2 8
Cartesian
0.0000 2.5337 0.0000 Tl
0.0000 7.6096 0.0000 Tl
4.9206 2.5380 0.0000 Tl
4.9206 7.6053 0.0000 Tl
-2.4386 0.0000 2.4975 P
2.4820 5.0716 2.4975 P
-1.3720 0.0000 4.2480 S
1.4448 3.3026 2.5113 S
1.4448 6.8407 2.5113 S
3.4969 5.0716 0.7158 S
3.5486 5.0716 4.2480 S
6.3654 1.7691 2.5113 S
6.3654 8.3742 2.5113 S
8.4175 0.0000 0.7158 S
```



Diffraction record for Rb2MnHBr6. The powder diffractogram is simulated, not measured: it uses a PBE-relaxed structure and Cu Kα X-rays.

Peak list (6 most intense, 2θ from 10° to 90°, by angle)
- d 3.037, 2θ 29.41, intensity 100
- d 2.733, 2θ 32.77, intensity 25
- d 2.582, 2θ 34.74, intensity 46
- d 1.877, 2θ 48.50, intensity 32
- d 1.826, 2θ 49.95, intensity 16
- d 1.565, 2θ 59.03, intensity 26

Crystal structure
```
Rb2MnHBr6
1.0
-3.6518 3.6518 5.4663
3.6518 -3.6518 5.4663
3.6518 3.6518 -5.4663
Rb Mn H Br
2 1 1 6
Cartesian
3.6518 0.0000 2.7332 Rb
0.0000 3.6518 2.7332 Rb
0.0000 0.0000 0.0000 Mn
0.0000 0.0000 5.4663 H
0.0000 0.0000 2.4763 Br
1.7728 1.7728 0.0000 Br
1.8790 -1.8790 5.4663 Br
-1.8790 1.8790 5.4663 Br
1.8790 1.8790 5.4663 Br
0.0000 0.0000 8.4563 Br
```